Calculated XRD peak list
Compound: Rb2Ni2PtSe4
Radiation: λ = 1.5418 Å (Cu Kα)
Structure: a structure optimized by DFT (GGA-PBE)

Atomic structure:
```
data_Rb2Ni2PtSe4
_chemical_formula_sum 'Rb8 Ni8 Pt4 Se16'
_space_group_name_H-M_alt 'F m m m'
_space_group_IT_number 69
_space_group_name_Hall '-F 2 2'
_cell_length_a 6.1698
_cell_length_b 11.1952
_cell_length_c 13.7577
_cell_angle_alpha 90.00
_cell_angle_beta 90.00
_cell_angle_gamma 90.00
loop_
_atom_site_label
_atom_site_fract_x
_atom_site_fract_y
_atom_site_fract_z
Rb1 0.0000 0.0000 0.1483
Ni1 0.2500 0.2500 0.0000
Pt1 0.0000 0.0000 0.5000
Se1 0.0000 0.1733 0.3867
```

Top 8 peaks for 15° ≤ 2θ ≤ 90°, by angle:
2θ (°)  d_spacing  I (rel.)  index
17.63  5.030  74.4  1 1 1
25.48  3.496  59.1  1 1 3
28.94  3.085  43.4  2 0 0
34.22  2.620  100.0  1 3 3
42.56  2.124  32.0  2 2 4
43.43  2.084  56.6  1 3 5
52.33  1.748  30.4  2 2 6
54.75  1.676  26.1  3 3 3